Record 1
Theoretical X-ray diffraction stick pattern
Compound: Ca4Pu3MoN8
Radiation: Cu Kα
Structure: a crystal structure in Alexandria, relaxed with GGA-PBE
Lines closer than 0.1° are merged.

Largest 8 diffraction maxima, sorted by position, 10° ≤ 2θ ≤ 90°:
2theta	intensity	index
15.77	98	0 0 3
30.80	61	0 2 1
31.85	33	0 0 6
32.19	95	2 0 2
37.24	100	0 2 4
53.46	33	2 0 8
53.91	34	2 2 0
63.99	29	2 2 6

Cell and atoms:
a = 6.8034 Å, b = 6.8034 Å, c = 16.8567 Å
α = 90.00°, β = 90.00°, γ = 120.00°
Space group R-3m (No. 166, hexagonal axes)
One atom of each set of equivalent atoms:
1 Ca 0.0000 0.0000 0.0000 (multiplicity 3)
2 Ca 0.0000 0.5000 0.0000 (multiplicity 9)
3 Pu 0.0000 0.5000 0.5000 (multiplicity 9)
4 Mo 0.0000 0.0000 0.5000 (multiplicity 3)
5 N 0.0000 0.0000 0.2392 (multiplicity 6)
6 N 0.0151 0.5076 0.2377 (multiplicity 18)

Record 2
Theoretical X-ray diffraction stick pattern
Compound: Ca2YMoN4
Radiation: Cu Kα
Structure: a crystal structure in Alexandria, relaxed with GGA-PBE
Lines closer than 0.1° are merged.

Largest 8 diffraction maxima, sorted by position, 10° ≤ 2θ ≤ 90°:
2theta	intensity	index
22.07	33	0 1 1
26.82	77	2 1 0
31.76	68	0 2 1
32.37	100	2 1 1
36.02	54	0 0 2
45.47	31	2 1 2
46.48	47	2 3 0
60.18	36	2 3 2

Cell and atoms:
a = 7.610 Å, b = 6.830 Å, c = 4.986 Å
α = 90.00°, β = 90.00°, γ = 90.00°
Space group Pmn2_1 (No. 31)
One atom of each set of equivalent atoms:
1 Ca 0.244 0.161 0.000 (multiplicity 4)
2 Y 0.000 0.361 0.498 (multiplicity 2)
3 Mo 0.000 0.672 0.045 (multiplicity 2)
4 N 0.000 0.384 0.002 (multiplicity 2)
5 N 0.000 0.680 0.430 (multiplicity 2)
6 N 0.225 0.798 0.994 (multiplicity 4)

Which formula does entry 2 have? Ca2YMoN4